For TmMgMo, a cell relaxed with PBE gives the computed XRD peak list in this record (Cu Kα (weighted mean of Kα1 and Kα2)).

Top 8 peaks for 2θ = 10–90°, by intensity:
2θ = 37.59°, intensity 100; 2θ = 22.76°, intensity 85; 2θ = 44.40°, intensity 44; 2θ = 67.85°, intensity 35; 2θ = 59.55°, intensity 18; 2θ = 54.22°, intensity 17; 2θ = 84.75°, intensity 14; 2θ = 72.59°, intensity 14

```
3
Lattice="0.0000 3.3836 3.3836 3.3836 0.0000 3.3836 3.3836 3.3836 0.0000" Properties=species:S:1:pos:R:3 pbc="T T T"
Tm 0.0000 0.0000 0.0000
Mg 3.3836 3.3836 3.3836
Mo 5.0754 5.0754 5.0754
```

---

For CuNiH16C8N8, a cell relaxed with PBE gives the computed XRD peak list in this record (Cu Kα (weighted mean of Kα1 and Kα2)).

Top 8 peaks for 2θ = 10–90°, by intensity:
2θ = 16.63°, intensity 100; 2θ = 15.10°, intensity 95; 2θ = 20.14°, intensity 70; 2θ = 17.82°, intensity 66; 2θ = 20.75°, intensity 60; 2θ = 30.80°, intensity 45; 2θ = 23.17°, intensity 41; 2θ = 28.74°, intensity 38

```
34
Lattice="6.3256 0.0000 0.0000 -2.1290 6.8208 0.0000 -0.2196 -2.4092 7.4427" Properties=species:S:1:pos:R:3 pbc="T T T"
Cu 0.0000 0.0000 0.0000
Ni 1.9885 2.2058 3.7214
H -1.3117 4.5923 0.9378
H 0.2352 -1.2146 4.5415
H -1.2734 3.5026 5.2473
H 0.0098 2.5235 0.4857
H 0.9174 0.8249 5.7341
H -0.1251 4.0729 6.2916
H 2.0164 -1.1447 4.5968
H 1.8738 -0.1498 6.8905
H 2.1032 4.5614 0.5522
H 1.9605 5.5563 2.8459
H 4.1021 0.3387 1.1511
H 3.0596 3.5868 1.7086
H 3.9672 1.8881 6.9570
H 5.2503 0.9090 2.1954
H 3.7418 5.6263 2.9013
H 5.2886 -0.1807 6.5049
C 1.1077 -1.2564 5.2019
C 0.9920 -0.1534 6.2360
C 0.5095 2.9619 2.9314
C 2.0019 0.9589 2.3797
C 1.9751 3.4527 5.0630
C 3.4674 1.4497 4.5113
C 2.9850 4.5651 1.2067
C 2.8692 5.6680 2.2408
N -0.1993 -0.4285 7.0555
N -0.4106 3.4223 2.3604
N -1.0558 4.2650 5.8975
N 2.0105 0.2005 1.4792
N 1.9664 4.2111 5.9635
N 5.0327 0.1466 1.5452
N 4.3876 0.9894 5.0824
N 4.1763 4.8402 0.3872
```

---

For PrHoTl, a cell relaxed with PBE gives the computed XRD peak list in this record (Cu Kα (weighted mean of Kα1 and Kα2)).

Top 8 peaks for 2θ = 10–90°, by intensity:
2θ = 33.87°, intensity 100; 2θ = 34.27°, intensity 97; 2θ = 20.75°, intensity 55; 2θ = 61.11°, intensity 37; 2θ = 48.95°, intensity 36; 2θ = 60.34°, intensity 19; 2θ = 61.36°, intensity 18; 2θ = 40.22°, intensity 18

```
3
Lattice="2.6169 1.5109 4.3469 -2.6169 1.5109 4.3469 0.0000 -3.0218 4.3469" Properties=species:S:1:pos:R:3 pbc="T T T"
Pr 0.0000 0.0000 0.0000
Ho 0.0000 0.0000 6.4809
Tl 0.0000 0.0000 3.2350
```

---

For Sr2CoSe3, a cell relaxed with PBE gives the computed XRD peak list in this record (Cu Kα (weighted mean of Kα1 and Kα2)).

Top 8 peaks for 2θ = 10–90°, by intensity:
2θ = 31.25°, intensity 100; 2θ = 29.85°, intensity 76; 2θ = 42.54°, intensity 60; 2θ = 31.54°, intensity 53; 2θ = 35.40°, intensity 51; 2θ = 29.39°, intensity 43; 2θ = 28.25°, intensity 43; 2θ = 32.61°, intensity 35

```
24
Lattice="8.7064 0.0000 0.0000 0.0000 4.2499 0.0000 0.0000 0.0000 16.9502" Properties=species:S:1:pos:R:3 pbc="T T T"
Sr 0.7378 1.0625 3.6091
Sr 2.1494 3.1874 7.7666
Sr 2.2038 1.0625 16.2417
Sr 3.6155 3.1874 12.0842
Sr 5.0910 1.0625 4.8659
Sr 6.5026 3.1874 0.7085
Sr 6.5571 1.0625 9.1836
Sr 7.9687 3.1874 13.3410
Co 1.1006 1.0625 10.7589
Co 3.2527 3.1874 2.2838
Co 5.4538 1.0625 14.6663
Co 7.6059 3.1874 6.1912
Se 0.0130 3.1874 10.2102
Se 1.1046 3.1874 1.2018
Se 1.5672 1.0625 13.1284
Se 2.7860 3.1874 4.6533
Se 3.2486 1.0625 9.6769
Se 4.3402 1.0625 1.7351
Se 4.3662 3.1874 15.2151
Se 5.4578 3.1874 7.2733
Se 5.9204 1.0625 12.2969
Se 7.1392 3.1874 3.8218
Se 7.6019 1.0625 15.7484
Se 8.6934 1.0625 6.7400
```

---

For BaCdP2Pb, a cell relaxed with PBE gives the computed XRD peak list in this record (Cu Kα (weighted mean of Kα1 and Kα2)).

Top 8 peaks for 2θ = 10–90°, by intensity:
2θ = 35.23°, intensity 100; 2θ = 31.90°, intensity 68; 2θ = 32.94°, intensity 67; 2θ = 28.10°, intensity 60; 2θ = 10.32°, intensity 59; 2θ = 26.31°, intensity 49; 2θ = 24.02°, intensity 43; 2θ = 23.86°, intensity 40

```
10
Lattice="2.2334 -8.5690 0.0000 2.2334 8.5690 0.0000 0.0000 0.0000 7.3765" Properties=species:S:1:pos:R:3 pbc="T T T"
Ba 2.2334 5.2819 3.6883
Ba 2.2334 -5.2819 0.0000
Cd 2.2334 1.7038 4.7471
Cd 2.2334 -1.7038 1.0588
P 2.2334 5.5939 0.3518
P 2.2334 0.8740 7.3433
P 2.2334 -0.8740 3.6551
P 2.2334 -5.5939 4.0401
Pb 2.2334 8.0176 6.1068
Pb 2.2334 -8.0176 2.4186
```

---

For NaMo2S2Br6, a cell relaxed with PBE gives the computed XRD peak list in this record (Cu Kα (weighted mean of Kα1 and Kα2)).

Top 8 peaks for 2θ = 10–90°, by intensity:
2θ = 20.69°, intensity 100; 2θ = 32.45°, intensity 85; 2θ = 42.37°, intensity 49; 2θ = 52.19°, intensity 42; 2θ = 10.69°, intensity 41; 2θ = 13.37°, intensity 34; 2θ = 39.72°, intensity 31; 2θ = 32.10°, intensity 30

```
11
Lattice="-2.2692 5.3019 6.6228 2.2692 -5.3019 6.6228 2.2692 5.3019 -6.6228" Properties=species:S:1:pos:R:3 pbc="T T T"
Na 0.0000 0.0000 0.0000
Mo 2.2692 3.7723 0.0000
Mo 0.0000 1.5296 6.6228
S 0.0000 3.7707 0.0000
S 0.0000 6.8330 0.0000
Br 2.2692 1.8184 -1.7281
Br 2.2692 1.8184 1.7281
Br 0.0000 0.0000 4.5434
Br 0.0000 0.0000 8.7023
Br 0.0000 3.4834 4.8948
Br 0.0000 3.4834 8.3509
```

---

For Nb4PAuC2, a cell relaxed with PBE gives the computed XRD peak list in this record (Cu Kα (weighted mean of Kα1 and Kα2)).

Top 8 peaks for 2θ = 10–90°, by intensity:
2θ = 38.35°, intensity 100; 2θ = 31.68°, intensity 33; 2θ = 34.78°, intensity 27; 2θ = 56.43°, intensity 25; 2θ = 70.29°, intensity 16; 2θ = 67.92°, intensity 14; 2θ = 73.39°, intensity 13; 2θ = 48.28°, intensity 12

```
8
Lattice="3.2614 0.0000 0.0000 -1.6307 2.8245 0.0000 0.0000 0.0000 12.6545" Properties=species:S:1:pos:R:3 pbc="T T T"
Nb 0.0000 0.0000 1.7361
Nb 0.0000 0.0000 10.9185
Nb 1.6307 0.9415 4.0808
Nb 1.6307 0.9415 8.5737
P 1.6307 0.9415 0.0000
Au 0.0000 0.0000 6.3273
C 0.0000 1.8830 2.9832
C 0.0000 1.8830 9.6713
```

---

For RbTe4PbAu3, a cell relaxed with PBE gives the computed XRD peak list in this record (Cu Kα (weighted mean of Kα1 and Kα2)).

Top 8 peaks for 2θ = 10–90°, by intensity:
2θ = 36.19°, intensity 100; 2θ = 21.93°, intensity 60; 2θ = 12.61°, intensity 46; 2θ = 65.09°, intensity 34; 2θ = 42.72°, intensity 30; 2θ = 52.11°, intensity 17; 2θ = 87.98°, intensity 14; 2θ = 38.47°, intensity 14

```
9
Lattice="7.0204 0.0000 0.0000 0.0000 7.0204 0.0000 0.0000 0.0000 7.0204" Properties=species:S:1:pos:R:3 pbc="T T T"
Rb 0.0000 0.0000 0.0000
Te 1.8910 1.8910 1.8910
Te 1.8910 5.1294 5.1294
Te 5.1294 1.8910 5.1294
Te 5.1294 5.1294 1.8910
Pb 3.5102 3.5102 3.5102
Au 0.0000 3.5102 3.5102
Au 3.5102 0.0000 3.5102
Au 3.5102 3.5102 0.0000
```

---

For Er4Mg3Ni2, a cell relaxed with PBE gives the computed XRD peak list in this record (Cu Kα (weighted mean of Kα1 and Kα2)).

Top 8 peaks for 2θ = 10–90°, by intensity:
2θ = 34.89°, intensity 100; 2θ = 33.73°, intensity 84; 2θ = 14.08°, intensity 61; 2θ = 39.91°, intensity 61; 2θ = 24.32°, intensity 59; 2θ = 24.63°, intensity 55; 2θ = 22.68°, intensity 50; 2θ = 11.29°, intensity 47

```
9
Lattice="7.3994 0.0000 0.0000 0.0000 3.6138 0.0000 -2.5422 0.0000 7.8403" Properties=species:S:1:pos:R:3 pbc="T T T"
Er 0.0843 0.0000 1.7308
Er 1.1996 0.0000 5.2626
Er 3.6576 0.0000 2.5777
Er 4.7729 0.0000 6.1095
Mg -1.2711 1.8069 3.9202
Mg 2.1794 1.8069 0.0062
Mg 2.6778 1.8069 7.8341
Ni 1.5390 1.8069 3.0473
Ni 3.3182 1.8069 4.7931
```

---

For CoNiSb4, a cell relaxed with PBE gives the computed XRD peak list in this record (Cu Kα (weighted mean of Kα1 and Kα2)).

Top 8 peaks for 2θ = 10–90°, by intensity:
2θ = 32.96°, intensity 100; 2θ = 32.56°, intensity 82; 2θ = 43.97°, intensity 52; 2θ = 49.92°, intensity 36; 2θ = 50.78°, intensity 33; 2θ = 29.73°, intensity 32; 2θ = 61.61°, intensity 25; 2θ = 28.50°, intensity 17

```
6
Lattice="5.4667 0.0000 0.0000 0.0000 3.5977 0.0000 -0.0001 0.0000 6.3627" Properties=species:S:1:pos:R:3 pbc="T T T"
Co 0.0000 0.0000 0.0000
Ni 2.7333 1.7989 3.1813
Sb 1.1217 0.0000 4.1019
Sb 1.5778 1.7989 0.8802
Sb 3.8888 1.7989 5.4824
Sb 4.3449 0.0000 2.2608
```